# 1
# Re8Ni5
Calculated X-ray powder pattern, a wavelength of 1.5418 Å. Input: a crystal structure in OQMD, relaxed with PBE.

Largest 12 diffraction maxima, in order of rising 2θ, 5° ≤ 2θ ≤ 70°:
| two_theta | I_rel |
| --- | --- |
| 20.80 | 66.7 |
| 24.73 | 12.7 |
| 40.88 | 30.5 |
| 41.68 | 100.0 |
| 42.13 | 24.5 |
| 42.34 | 13.9 |
| 43.95 | 16.7 |
| 44.10 | 30.1 |
| 45.28 | 46.2 |
| 48.32 | 14.5 |
| 48.69 | 30.9 |
| 67.70 | 12.3 |

Cell lengths 9.0191, 9.0191, 9.0191 Å; angles 32.35, 32.35, 32.35 degrees
Positions (direct):
Re 0.0488 0.0488 0.0488
Re 0.0843 0.5910 0.5910
Re 0.4090 0.4090 0.9157
Re 0.4090 0.9157 0.4090
Re 0.5910 0.0843 0.5910
Re 0.5910 0.5910 0.0843
Re 0.9156 0.4090 0.4090
Re 0.9512 0.9512 0.9512
Ni 0.1549 0.1549 0.1549
Ni 0.3345 0.3345 0.3345
Ni 0.5000 0.5000 0.5000
Ni 0.6655 0.6655 0.6655
Ni 0.8451 0.8451 0.8451

***

# 2
# Re3Ni10
Calculated X-ray powder pattern, a wavelength of 1.5418 Å. Input: a crystal structure in OQMD, relaxed with PBE.

Largest 12 diffraction maxima, in order of rising 2θ, 5° ≤ 2θ ≤ 70°:
| two_theta | I_rel |
| --- | --- |
| 23.48 | 81.3 |
| 26.44 | 39.1 |
| 39.33 | 100.0 |
| 42.06 | 38.3 |
| 44.93 | 75.2 |
| 45.23 | 87.5 |
| 45.87 | 35.5 |
| 46.31 | 42.3 |
| 49.27 | 31.5 |
| 51.24 | 49.3 |
| 51.92 | 26.1 |
| 52.49 | 30.9 |

Cell lengths 8.9185, 8.9185, 8.9185 Å; angles 29.77, 29.77, 29.77 degrees
Positions (direct):
Re 0.0000 0.0000 0.0000
Re 0.4548 0.4548 0.4548
Re 0.5452 0.5452 0.5452
Ni 0.0897 0.0897 0.5847
Ni 0.0897 0.5847 0.0897
Ni 0.1656 0.1656 0.1656
Ni 0.3460 0.3460 0.3460
Ni 0.4153 0.9103 0.9103
Ni 0.5847 0.0897 0.0897
Ni 0.6540 0.6540 0.6540
Ni 0.8344 0.8344 0.8344
Ni 0.9103 0.4153 0.9103
Ni 0.9103 0.9103 0.4153

***

# 3
# Re13Ni16
Calculated X-ray powder pattern, a wavelength of 1.5418 Å. Input: a crystal structure in OQMD, relaxed with PBE.

Largest 12 diffraction maxima, in order of rising 2θ, 5° ≤ 2θ ≤ 70°:
| two_theta | I_rel |
| --- | --- |
| 13.73 | 16.5 |
| 23.90 | 43.0 |
| 31.01 | 10.1 |
| 34.05 | 9.6 |
| 36.87 | 17.2 |
| 39.52 | 9.5 |
| 42.03 | 100.0 |
| 44.42 | 7.6 |
| 46.71 | 63.3 |
| 48.92 | 13.9 |
| 51.06 | 40.6 |
| 55.16 | 8.6 |

Cell lengths 7.8986, 7.8986, 7.8986 Å; angles 109.47, 109.47, 109.47 degrees
Positions (direct):
Re 0.0000 0.0000 0.0000
Re 0.0000 0.1941 0.3827
Re 0.0000 0.3827 0.1941
Re 0.1886 0.8059 0.8059
Re 0.1941 0.0000 0.3827
Re 0.1941 0.3827 0.0000
Re 0.3827 0.0000 0.1941
Re 0.3827 0.1941 0.0000
Re 0.6173 0.6173 0.8114
Re 0.6173 0.8114 0.6173
Re 0.8059 0.1886 0.8059
Re 0.8059 0.8059 0.1886
Re 0.8114 0.6173 0.6173
Ni 0.0000 0.0000 0.6530
Ni 0.0000 0.4031 0.6828
Ni 0.0000 0.6530 0.0000
Ni 0.0000 0.6828 0.4031
Ni 0.2797 0.5969 0.5969
Ni 0.3172 0.3172 0.7203
Ni 0.3172 0.7203 0.3172
Ni 0.3470 0.3470 0.3470
Ni 0.4031 0.0000 0.6828
Ni 0.4031 0.6828 0.0000
Ni 0.5969 0.2797 0.5969
Ni 0.5969 0.5969 0.2797
Ni 0.6530 0.0000 0.0000
Ni 0.6828 0.0000 0.4031
Ni 0.6828 0.4031 0.0000
Ni 0.7203 0.3172 0.3172

***

# 4
# Re25Ni4
Calculated X-ray powder pattern, a wavelength of 1.5418 Å. Input: a crystal structure in OQMD, relaxed with PBE.

Largest 12 diffraction maxima, in order of rising 2θ, 5° ≤ 2θ ≤ 70°:
| two_theta | I_rel |
| --- | --- |
| 18.65 | 2.9 |
| 22.89 | 9.7 |
| 26.49 | 4.1 |
| 29.69 | 2.9 |
| 37.82 | 12.2 |
| 40.21 | 100.0 |
| 44.67 | 39.9 |
| 46.77 | 10.6 |
| 48.80 | 33.7 |
| 52.68 | 3.2 |
| 68.29 | 4.8 |
| 69.90 | 11.0 |

Cell lengths 8.2410, 8.2410, 8.2410 Å; angles 109.47, 109.47, 109.47 degrees
Positions (direct):
Re 0.0000 0.0000 0.0000
Re 0.0000 0.1946 0.3780
Re 0.0000 0.3780 0.1946
Re 0.0000 0.4047 0.6880
Re 0.0000 0.6880 0.4047
Re 0.1835 0.8054 0.8054
Re 0.1946 0.0000 0.3780
Re 0.1946 0.3780 0.0000
Re 0.2833 0.5953 0.5953
Re 0.3120 0.3120 0.7167
Re 0.3120 0.7167 0.3120
Re 0.3780 0.0000 0.1946
Re 0.3780 0.1946 0.0000
Re 0.4047 0.0000 0.6880
Re 0.4047 0.6880 0.0000
Re 0.5953 0.2833 0.5953
Re 0.5953 0.5953 0.2833
Re 0.6220 0.6220 0.8165
Re 0.6220 0.8165 0.6220
Re 0.6880 0.0000 0.4047
Re 0.6880 0.4047 0.0000
Re 0.7167 0.3120 0.3120
Re 0.8054 0.1835 0.8054
Re 0.8054 0.8054 0.1835
Re 0.8165 0.6220 0.6220
Ni 0.0000 0.0000 0.6813
Ni 0.0000 0.6813 0.0000
Ni 0.3187 0.3187 0.3187
Ni 0.6813 0.0000 0.0000

***

# 5
# ReNi28
Calculated X-ray powder pattern, a wavelength of 1.5418 Å. Input: a crystal structure in OQMD, relaxed with PBE.

Largest 12 diffraction maxima, in order of rising 2θ, 5° ≤ 2θ ≤ 70°:
| two_theta | I_rel |
| --- | --- |
| 14.58 | 8.5 |
| 25.40 | 3.5 |
| 32.98 | 3.1 |
| 39.25 | 10.5 |
| 42.08 | 5.9 |
| 44.77 | 100.0 |
| 47.33 | 3.4 |
| 49.79 | 25.1 |
| 52.17 | 12.7 |
| 54.47 | 9.9 |
| 58.89 | 3.4 |
| 67.19 | 3.2 |

Cell lengths 7.4385, 7.4385, 7.4385 Å; angles 109.47, 109.47, 109.47 degrees
Positions (direct):
Re 0.0000 0.0000 0.0000
Ni 0.0000 0.0000 0.6533
Ni 0.0000 0.1905 0.3774
Ni 0.0000 0.3774 0.1905
Ni 0.0000 0.4093 0.6863
Ni 0.0000 0.6533 0.0000
Ni 0.0000 0.6863 0.4093
Ni 0.1869 0.8095 0.8095
Ni 0.1905 0.0000 0.3774
Ni 0.1905 0.3774 0.0000
Ni 0.2770 0.5907 0.5907
Ni 0.3137 0.3137 0.7230
Ni 0.3137 0.7230 0.3137
Ni 0.3467 0.3467 0.3467
Ni 0.3774 0.0000 0.1905
Ni 0.3774 0.1905 0.0000
Ni 0.4093 0.0000 0.6863
Ni 0.4093 0.6863 0.0000
Ni 0.5907 0.2770 0.5907
Ni 0.5907 0.5907 0.2770
Ni 0.6226 0.6226 0.8131
Ni 0.6226 0.8131 0.6226
Ni 0.6533 0.0000 0.0000
Ni 0.6863 0.0000 0.4093
Ni 0.6863 0.4093 0.0000
Ni 0.7230 0.3137 0.3137
Ni 0.8095 0.1869 0.8095
Ni 0.8095 0.8095 0.1869
Ni 0.8131 0.6226 0.6226

***

# 6
# Re14Ni
Calculated X-ray powder pattern, a wavelength of 1.5418 Å. Input: a crystal structure in OQMD, relaxed with PBE.

Largest 12 diffraction maxima, in order of rising 2θ, 5° ≤ 2θ ≤ 70°:
| two_theta | I_rel |
| --- | --- |
| 35.09 | 6.7 |
| 36.23 | 20.5 |
| 39.35 | 100.0 |
| 40.54 | 35.7 |
| 41.12 | 30.0 |
| 42.27 | 77.8 |
| 43.54 | 86.2 |
| 44.64 | 57.5 |
| 45.58 | 18.6 |
| 47.68 | 12.7 |
| 62.62 | 6.2 |
| 69.32 | 14.0 |

Cell lengths 9.4400, 9.4400, 4.9589 Å; angles 90.00, 90.00, 90.00 degrees
Positions (direct):
Re 0.0380 0.3641 0.0000
Re 0.0646 0.2578 0.5000
Re 0.0925 0.0925 0.0000
Re 0.1359 0.5380 0.5000
Re 0.1795 0.8205 0.2508
Re 0.1795 0.8205 0.7492
Re 0.2422 0.5646 0.0000
Re 0.2578 0.0646 0.5000
Re 0.3205 0.3205 0.2492
Re 0.3205 0.3205 0.7508
Re 0.3641 0.0380 0.0000
Re 0.4075 0.5925 0.5000
Re 0.4354 0.7578 0.0000
Re 0.4620 0.8641 0.5000
Re 0.5380 0.1359 0.5000
Re 0.5646 0.2422 0.0000
Re 0.5925 0.4075 0.5000
Re 0.6359 0.9620 0.0000
Re 0.6795 0.6795 0.2492
Re 0.6795 0.6795 0.7508
Re 0.7422 0.9354 0.5000
Re 0.7578 0.4354 0.0000
Re 0.8205 0.1795 0.2508
Re 0.8205 0.1795 0.7492
Re 0.8641 0.4620 0.5000
Re 0.9075 0.9075 0.0000
Re 0.9354 0.7422 0.5000
Re 0.9620 0.6359 0.0000
Ni 0.0000 0.0000 0.5000
Ni 0.5000 0.5000 0.0000

***

# 7
# Re12Ni
Calculated X-ray powder pattern, a wavelength of 1.5418 Å. Input: a crystal structure in OQMD, relaxed with PBE.

Largest 12 diffraction maxima, in order of rising 2θ, 5° ≤ 2θ ≤ 70°:
| two_theta | I_rel |
| --- | --- |
| 35.72 | 45.0 |
| 39.69 | 69.9 |
| 40.68 | 26.8 |
| 41.28 | 100.0 |
| 41.62 | 71.7 |
| 42.75 | 53.2 |
| 43.75 | 37.1 |
| 44.99 | 55.4 |
| 48.17 | 23.9 |
| 66.84 | 30.1 |
| 67.96 | 23.1 |
| 69.02 | 26.0 |

Cell lengths 9.3349, 9.3349, 9.3349 Å; angles 31.24, 31.24, 31.24 degrees
Positions (direct):
Re 0.0476 0.0476 0.0476
Re 0.0876 0.5903 0.5903
Re 0.1529 0.1529 0.1529
Re 0.3340 0.3340 0.3340
Re 0.4097 0.4097 0.9124
Re 0.4097 0.9124 0.4097
Re 0.5903 0.0876 0.5903
Re 0.5903 0.5903 0.0876
Re 0.6660 0.6660 0.6660
Re 0.8471 0.8471 0.8471
Re 0.9124 0.4097 0.4097
Re 0.9524 0.9524 0.9524
Ni 0.5000 0.5000 0.5000

***

# 8
# Re7Ni5
Calculated X-ray powder pattern, a wavelength of 1.5418 Å. Input: a crystal structure in OQMD, relaxed with PBE.

Largest 12 diffraction maxima, in order of rising 2θ, 5° ≤ 2θ ≤ 70°:
| two_theta | I_rel |
| --- | --- |
| 11.10 | 25.9 |
| 20.83 | 46.8 |
| 33.73 | 15.5 |
| 36.49 | 32.2 |
| 39.98 | 43.3 |
| 43.19 | 100.0 |
| 43.96 | 61.4 |
| 45.52 | 19.3 |
| 48.41 | 36.6 |
| 50.55 | 10.9 |
| 57.14 | 8.4 |
| 68.03 | 15.1 |

Cell lengths 4.9245, 4.9245, 15.9419 Å; angles 90.00, 90.00, 120.00 degrees
Positions (direct):
Re 0.0000 0.5000 0.0000
Re 0.0000 0.5000 0.5000
Re 0.3333 0.6667 0.1341
Re 0.3333 0.6667 0.3659
Re 0.3333 0.6667 0.6525
Re 0.3333 0.6667 0.8475
Re 0.5000 0.0000 0.0000
Re 0.5000 0.0000 0.5000
Re 0.5000 0.5000 0.0000
Re 0.5000 0.5000 0.5000
Re 0.6667 0.3333 0.1525
Re 0.6667 0.3333 0.3475
Re 0.6667 0.3333 0.6341
Re 0.6667 0.3333 0.8659
Ni 0.0000 0.0000 0.0916
Ni 0.0000 0.0000 0.4084
Ni 0.0000 0.0000 0.5916
Ni 0.0000 0.0000 0.9084
Ni 0.1562 0.3125 0.2500
Ni 0.1562 0.8438 0.2500
Ni 0.3125 0.1562 0.7500
Ni 0.6875 0.8438 0.2500
Ni 0.8438 0.1562 0.7500
Ni 0.8438 0.6875 0.7500

***

# 9
# Re10Ni3
Calculated X-ray powder pattern, a wavelength of 1.5418 Å. Input: a crystal structure in OQMD, relaxed with PBE.

Largest 12 diffraction maxima, in order of rising 2θ, 5° ≤ 2θ ≤ 70°:
| two_theta | I_rel |
| --- | --- |
| 20.38 | 43.1 |
| 35.75 | 26.0 |
| 40.25 | 53.5 |
| 41.49 | 98.9 |
| 41.67 | 100.0 |
| 42.12 | 22.3 |
| 43.39 | 38.9 |
| 43.87 | 27.4 |
| 45.15 | 46.4 |
| 47.88 | 33.1 |
| 48.43 | 24.9 |
| 67.28 | 23.3 |

Cell lengths 9.1831, 9.1831, 9.1831 Å; angles 31.74, 31.74, 31.74 degrees
Positions (direct):
Re 0.0476 0.0476 0.0476
Re 0.0865 0.5883 0.5883
Re 0.1574 0.1574 0.1574
Re 0.4117 0.4117 0.9135
Re 0.4117 0.9135 0.4117
Re 0.5883 0.0865 0.5883
Re 0.5883 0.5883 0.0865
Re 0.8426 0.8426 0.8426
Re 0.9135 0.4117 0.4117
Re 0.9524 0.9524 0.9524
Ni 0.3322 0.3322 0.3322
Ni 0.5000 0.5000 0.5000
Ni 0.6678 0.6678 0.6678

***

# 10
# ReNi5
Calculated X-ray powder pattern, a wavelength of 1.5418 Å. Input: a crystal structure in OQMD, relaxed with PBE.

Largest 12 diffraction maxima, in order of rising 2θ, 5° ≤ 2θ ≤ 70°:
| two_theta | I_rel |
| --- | --- |
| 11.83 | 14.5 |
| 22.27 | 40.7 |
| 32.81 | 16.9 |
| 39.08 | 56.4 |
| 42.75 | 93.1 |
| 45.44 | 16.8 |
| 45.87 | 9.2 |
| 46.27 | 100.0 |
| 47.13 | 57.4 |
| 48.68 | 9.3 |
| 49.17 | 10.9 |
| 54.18 | 14.5 |

Cell lengths 4.6093, 4.6093, 14.9635 Å; angles 90.00, 90.00, 120.00 degrees
Positions (direct):
Re 0.0000 0.0000 0.0909
Re 0.0000 0.0000 0.4091
Re 0.0000 0.0000 0.5909
Re 0.0000 0.0000 0.9091
Ni 0.0000 0.5000 0.0000
Ni 0.0000 0.5000 0.5000
Ni 0.1629 0.3257 0.2500
Ni 0.1629 0.8371 0.2500
Ni 0.3257 0.1629 0.7500
Ni 0.3333 0.6667 0.1256
Ni 0.3333 0.6667 0.3744
Ni 0.3333 0.6667 0.6530
Ni 0.3333 0.6667 0.8470
Ni 0.5000 0.0000 0.0000
Ni 0.5000 0.0000 0.5000
Ni 0.5000 0.5000 0.0000
Ni 0.5000 0.5000 0.5000
Ni 0.6667 0.3333 0.1530
Ni 0.6667 0.3333 0.3470
Ni 0.6667 0.3333 0.6256
Ni 0.6667 0.3333 0.8744
Ni 0.6743 0.8371 0.2500
Ni 0.8371 0.1629 0.7500
Ni 0.8371 0.6743 0.7500